The following is a simulated X-ray diffraction stick pattern of Rb2Na21Tl6. It was derived from the GGA-PBE geometry in Alexandria, using Cu Kα (λ = 1.5418 Å).

Crystal structure
Lattice parameters (Å, degrees): 11.562 11.562 11.562 60.00 60.00 60.00
Fractional positions:
Rb  0.250  0.250  0.250
Rb  0.750  0.750  0.750
Na  0.000  0.000  0.000
Na  0.000  0.000  0.342
Na  0.000  0.000  0.658
Na  0.000  0.342  0.000
Na  0.000  0.342  0.658
Na  0.000  0.658  0.000
Na  0.000  0.658  0.342
Na  0.169  0.610  0.610
Na  0.342  0.000  0.000
Na  0.342  0.000  0.658
Na  0.342  0.658  0.000
Na  0.390  0.390  0.390
Na  0.390  0.390  0.831
Na  0.390  0.831  0.390
Na  0.610  0.169  0.610
Na  0.610  0.610  0.169
Na  0.610  0.610  0.610
Na  0.658  0.000  0.000
Na  0.658  0.000  0.342
Na  0.658  0.342  0.000
Na  0.831  0.390  0.390
Tl  0.262  0.262  0.738
Tl  0.262  0.738  0.262
Tl  0.262  0.738  0.738
Tl  0.738  0.262  0.262
Tl  0.738  0.262  0.738
Tl  0.738  0.738  0.262

Peak list (10 most intense, 5 to 70 degrees two-theta, by angle)
4.720 Å, rel. 100.0
4.088 Å, rel. 50.9
2.891 Å, rel. 62.7
2.465 Å, rel. 71.4
2.360 Å, rel. 16.8
1.876 Å, rel. 26.9
1.828 Å, rel. 18.9
1.669 Å, rel. 25.3
1.573 Å, rel. 16.4
1.382 Å, rel. 20.1